Calculated X-ray diffraction stick pattern
Compound: NaYbPd6O8
Radiation: Cu Ka
Structure: a cell relaxed with GGA-PBE

The 10 most intense peaks (2θ from 10° to 80°), most intense first:
2θ 34.46, rel. 1000, (2 0 1); 2θ 37.87, rel. 630, (2 1 1); 2θ 59.43, rel. 335, (3 1 2); 2θ 57.07, rel. 239, (3 2 0); 2θ 74.76, rel. 204, (4 1 2); 2θ 15.23, rel. 195, (1 0 0); 2θ 64.00, rel. 175, (4 0 0); 2θ 54.64, rel. 134, (2 2 2); 2θ 30.73, rel. 123, (2 0 0); 2θ 76.84, rel. 77, (3 3 2)

Unit cell a=5.8190 b=5.8190 c=5.8190 alpha=90.00 beta=90.00 gamma=90.00
Space group Pm-3 (No. 200)
Inequivalent atoms, fractional coordinates:
Na: 0.0000 0.0000 0.0000 [1 per cell]
Yb: 0.5000 0.5000 0.5000 [1 per cell]
Pd: 0.0000 0.2487 0.5000 [6 per cell]
O: 0.2568 0.2568 0.2568 [8 per cell]